1.
The following is a simulated X-ray powder pattern of Pr3AlGe. It was derived from DFT lattice parameters and positions (GGA-PBE), using Cu Kα (λ = 1.5418 Å).
No peak broadening, texture or thermal motion is included.

Peak list (10 most intense, 15° ≤ 2θ ≤ 90°, by angle)
d 3.121, I 100
d 3.048, I 46
d 3.010, I 63
d 2.913, I 22
d 2.842, I 53
d 2.619, I 27
d 2.525, I 39
d 2.406, I 28
d 2.357, I 39
d 2.120, I 35

Structure:
Cell lengths 4.240, 8.146, 8.753 Å; angles 86.83, 89.93, 75.04 degrees
Space group P-1 (No. 2)
Inequivalent atoms, fractional coordinates:
Pr (0.047, 0.404, 0.172) [2 per cell]
Pr (0.236, 0.026, 0.823) [2 per cell]
Pr (0.406, 0.684, 0.417) [2 per cell]
Al (0.210, 0.082, 0.435) [2 per cell]
Ge (0.392, 0.715, 0.066) [2 per cell]

2.
The following is a simulated X-ray powder pattern of CaLaAs2Pd5. It was derived from DFT lattice parameters and positions (GGA-PBE), using Cu Kα (λ = 1.5418 Å).
No peak broadening, texture or thermal motion is included.

Peak list (10 most intense, 15° ≤ 2θ ≤ 90°, by angle)
d 2.536, I 100
d 2.466, I 24
d 2.246, I 9
d 2.173, I 55
d 2.145, I 18
d 1.630, I 14
d 1.562, I 12
d 1.537, I 18
d 1.346, I 11
d 1.314, I 24

Structure:
Cell lengths 4.346, 4.346, 8.983 Å; angles 90.00, 90.00, 90.00 degrees
Space group P4/mmm (No. 123)
Inequivalent atoms, fractional coordinates:
Ca (0.000, 0.000, 0.000) [1 per cell]
La (0.000, 0.000, 0.500) [1 per cell]
As (0.500, 0.500, 0.358) [2 per cell]
Pd (0.000, 0.500, 0.223) [4 per cell]
Pd (0.500, 0.500, 0.000) [1 per cell]